# 1
Diffraction record for NdGd2NiIr2Pb3. The powder X-ray diffraction pattern is theoretical, not measured: it uses a PBE-relaxed structure and copper Kα.

Main lines, by angle (2θ from 10° to 90°):
- 2θ 23.15, 3.842 Å, I = 14
- 2θ 32.71, 2.738 Å, I = 100
- 2θ 35.13, 2.554 Å, I = 68
- 2θ 35.38, 2.537 Å, I = 75
- 2θ 40.02, 2.253 Å, I = 37
- 2θ 42.50, 2.127 Å, I = 32
- 2θ 47.32, 1.921 Å, I = 23
- 2θ 60.28, 1.535 Å, I = 30
- 2θ 63.66, 1.462 Å, I = 19
- 2θ 64.81, 1.439 Å, I = 22

Structural model:
```
data_NdGd2NiIr2Pb3
_chemical_formula_sum 'Nd1 Gd2 Ni1 Ir2 Pb3'
_space_group_name_H-M_alt 'P 1'
_space_group_IT_number 1
_cell_length_a 3.8418
_cell_length_b 7.8088
_cell_length_c 7.8088
_cell_angle_alpha 120.13
_cell_angle_beta 90.00
_cell_angle_gamma 90.00
loop_
_space_group_symop_operation_xyz
'x,y,z'
loop_
_atom_site_label
_atom_site_type_symbol
_atom_site_fract_x
_atom_site_fract_y
_atom_site_fract_z
Nd1 Nd 0.0000 0.0000 0.0000
Gd1 Gd 0.0000 0.4104 0.8217
Gd2 Gd 0.0000 0.8217 0.4104
Ni1 Ni 0.0000 0.4133 0.4133
Ir1 Ir 0.5000 0.0789 0.7401
Ir2 Ir 0.5000 0.7401 0.0789
Pb1 Pb 0.5000 0.1561 0.4122
Pb2 Pb 0.5000 0.4122 0.1561
Pb3 Pb 0.5000 0.6645 0.6645
```

=====

# 2
Diffraction record for NbCoB. The powder X-ray diffraction pattern is theoretical, not measured: it uses a PBE-relaxed structure and copper Kα.

Main lines, by angle (2θ from 10° to 90°):
- 2θ 29.88, 2.991 Å, I = 30
- 2θ 30.50, 2.931 Å, I = 31
- 2θ 40.70, 2.217 Å, I = 18
- 2θ 40.99, 2.202 Å, I = 100
- 2θ 42.88, 2.109 Å, I = 37
- 2θ 43.23, 2.093 Å, I = 54
- 2θ 48.51, 1.877 Å, I = 18
- 2θ 48.67, 1.871 Å, I = 16
- 2θ 55.12, 1.666 Å, I = 20
- 2θ 80.34, 1.195 Å, I = 19

Structural model:
```
data_NbCoB
_chemical_formula_sum 'Nb4 Co4 B4'
_space_group_name_H-M_alt 'P 1'
_space_group_IT_number 1
_cell_length_a 5.8584
_cell_length_b 3.3322
_cell_length_c 6.7818
_cell_angle_alpha 90.00
_cell_angle_beta 90.00
_cell_angle_gamma 90.00
loop_
_space_group_symop_operation_xyz
'x,y,z'
loop_
_atom_site_label
_atom_site_type_symbol
_atom_site_fract_x
_atom_site_fract_y
_atom_site_fract_z
Nb1 Nb 0.0238 0.2500 0.1808
Nb2 Nb 0.4762 0.7500 0.6808
Nb3 Nb 0.5238 0.2500 0.3192
Nb4 Nb 0.9762 0.7500 0.8192
Co1 Co 0.1432 0.2500 0.5600
Co2 Co 0.3568 0.7500 0.0600
Co3 Co 0.6432 0.2500 0.9400
Co4 Co 0.8568 0.7500 0.4400
B1 B 0.2259 0.7500 0.3804
B2 B 0.2741 0.2500 0.8804
B3 B 0.7259 0.7500 0.1196
B4 B 0.7741 0.2500 0.6196
```

=====

# 3
Diffraction record for TlIr8. The powder X-ray diffraction pattern is theoretical, not measured: it uses a PBE-relaxed structure and copper Kα.

Main lines, by angle (2θ from 10° to 90°):
- 2θ 37.16, 2.419 Å, I = 27
- 2θ 39.49, 2.282 Å, I = 100
- 2θ 40.21, 2.243 Å, I = 93
- 2θ 41.04, 2.200 Å, I = 71
- 2θ 41.94, 2.154 Å, I = 51
- 2θ 47.06, 1.931 Å, I = 35
- 2θ 47.16, 1.927 Å, I = 27
- 2θ 47.29, 1.922 Å, I = 31
- 2θ 47.52, 1.913 Å, I = 26
- 2θ 69.13, 1.359 Å, I = 27

Structural model:
```
data_TlIr8
_chemical_formula_sum 'Tl2 Ir16'
_space_group_name_H-M_alt 'P 1'
_space_group_IT_number 1
_cell_length_a 4.7143
_cell_length_b 4.7143
_cell_length_c 29.9316
_cell_angle_alpha 90.09
_cell_angle_beta 90.09
_cell_angle_gamma 48.36
loop_
_space_group_symop_operation_xyz
'x,y,z'
loop_
_atom_site_label
_atom_site_type_symbol
_atom_site_fract_x
_atom_site_fract_y
_atom_site_fract_z
Tl1 Tl 0.0484 0.0484 0.2623
Tl2 Tl 0.9516 0.9516 0.7377
Ir1 Ir 0.0493 0.0493 0.9564
Ir2 Ir 0.1487 0.1487 0.8698
Ir3 Ir 0.1504 0.1504 0.1606
Ir4 Ir 0.2506 0.2506 0.7848
Ir5 Ir 0.2519 0.2519 0.0726
Ir6 Ir 0.3497 0.3497 0.9860
Ir7 Ir 0.4468 0.4468 0.8991
Ir8 Ir 0.4487 0.4487 0.1868
Ir9 Ir 0.5513 0.5513 0.8132
Ir10 Ir 0.5532 0.5532 0.1009
Ir11 Ir 0.6503 0.6503 0.0140
Ir12 Ir 0.7481 0.7481 0.9274
Ir13 Ir 0.7494 0.7494 0.2152
Ir14 Ir 0.8496 0.8496 0.8394
Ir15 Ir 0.8513 0.8513 0.1302
Ir16 Ir 0.9507 0.9507 0.0436
```

=====

What did the third record say?
Diffraction record for TlIr8. The powder X-ray diffraction pattern is theoretical, not measured: it uses a PBE-relaxed structure and copper Kα.

Main lines, by angle (2θ from 10° to 90°):
- 2θ 37.16, 2.419 Å, I = 27
- 2θ 39.49, 2.282 Å, I = 100
- 2θ 40.21, 2.243 Å, I = 93
- 2θ 41.04, 2.200 Å, I = 71
- 2θ 41.94, 2.154 Å, I = 51
- 2θ 47.06, 1.931 Å, I = 35
- 2θ 47.16, 1.927 Å, I = 27
- 2θ 47.29, 1.922 Å, I = 31
- 2θ 47.52, 1.913 Å, I = 26
- 2θ 69.13, 1.359 Å, I = 27

Structural model:
```
data_TlIr8
_chemical_formula_sum 'Tl2 Ir16'
_space_group_name_H-M_alt 'P 1'
_space_group_IT_number 1
_cell_length_a 4.7143
_cell_length_b 4.7143
_cell_length_c 29.9316
_cell_angle_alpha 90.09
_cell_angle_beta 90.09
_cell_angle_gamma 48.36
loop_
_space_group_symop_operation_xyz
'x,y,z'
loop_
_atom_site_label
_atom_site_type_symbol
_atom_site_fract_x
_atom_site_fract_y
_atom_site_fract_z
Tl1 Tl 0.0484 0.0484 0.2623
Tl2 Tl 0.9516 0.9516 0.7377
Ir1 Ir 0.0493 0.0493 0.9564
Ir2 Ir 0.1487 0.1487 0.8698
Ir3 Ir 0.1504 0.1504 0.1606
Ir4 Ir 0.2506 0.2506 0.7848
Ir5 Ir 0.2519 0.2519 0.0726
Ir6 Ir 0.3497 0.3497 0.9860
Ir7 Ir 0.4468 0.4468 0.8991
Ir8 Ir 0.4487 0.4487 0.1868
Ir9 Ir 0.5513 0.5513 0.8132
Ir10 Ir 0.5532 0.5532 0.1009
Ir11 Ir 0.6503 0.6503 0.0140
Ir12 Ir 0.7481 0.7481 0.9274
Ir13 Ir 0.7494 0.7494 0.2152
Ir14 Ir 0.8496 0.8496 0.8394
Ir15 Ir 0.8513 0.8513 0.1302
Ir16 Ir 0.9507 0.9507 0.0436
```